[1]
Diffraction record for Ti2B. The X-ray diffraction stick pattern is computed, not measured: it uses a cell relaxed with GGA-PBE and Cu Kα (λ = 1.5418 Å).
Intensities are scaled so that the largest is 1000.

Atomic structure:
```
data_Ti2B
_chemical_formula_sum 'Ti8 B4'
_cell_length_a 5.6461
_cell_length_b 5.6461
_cell_length_c 4.7816
_cell_angle_alpha 90.00
_cell_angle_beta 90.00
_cell_angle_gamma 90.00
_space_group_name_H-M_alt 'I 4/m c m'
_space_group_IT_number 140
_space_group_name_Hall '-I 4 2c'
loop_
_atom_site_label
_atom_site_type_symbol
_atom_site_fract_x
_atom_site_fract_y
_atom_site_fract_z
Ti1 Ti 0.1663 0.3337 0.0000
B1 B 0.0000 0.0000 0.2500
```

Main lines, most intense first (2θ = 10–90°):
- 2θ = 40.40°, 2.233 Å, I 1000
- 2θ = 37.62°, 2.391 Å, I 232
- 2θ = 69.78°, 1.348 Å, I 168
- 2θ = 71.69°, 1.316 Å, I 152
- 2θ = 31.70°, 2.823 Å, I 151
- 2θ = 49.99°, 1.824 Å, I 147

***

[2]
Diffraction record for Ti4BeH. The X-ray diffraction stick pattern is computed, not measured: it uses a cell relaxed with GGA-PBE and Cu Kα (λ = 1.5418 Å).
Intensities are scaled so that the largest is 1000.

Atomic structure:
```
data_Ti4BeH
_chemical_formula_sum 'Ti16 Be4 H4'
_cell_length_a 3.8245
_cell_length_b 15.8447
_cell_length_c 5.3406
_cell_angle_alpha 90.00
_cell_angle_beta 90.00
_cell_angle_gamma 90.00
_space_group_name_H-M_alt 'C m c 21'
_space_group_IT_number 36
loop_
_space_group_symop_operation_xyz
'x,y,z'
'-x,-y,z+1/2'
'-x,y,z'
'x,-y,z+1/2'
'x+1/2,y+1/2,z'
'-x+1/2,-y+1/2,z+1/2'
'-x+1/2,y+1/2,z'
'x+1/2,-y+1/2,z+1/2'
loop_
_atom_site_label
_atom_site_type_symbol
_atom_site_fract_x
_atom_site_fract_y
_atom_site_fract_z
Ti1 Ti 0.0000 0.0407 0.0000
Ti2 Ti 0.0000 0.1911 0.2448
Ti3 Ti 0.0000 0.1939 0.7438
Ti4 Ti 0.0000 0.4086 0.9929
Be1 Be 0.0000 0.3564 0.4966
H1 H 0.0000 0.0743 0.6415
```

Main lines, most intense first (2θ = 10–90°):
- 2θ = 36.83°, 2.440 Å, I 1000
- 2θ = 35.48°, 2.530 Å, I 823
- 2θ = 44.81°, 2.023 Å, I 806
- 2θ = 33.44°, 2.680 Å, I 673
- 2θ = 47.55°, 1.912 Å, I 379
- 2θ = 60.70°, 1.526 Å, I 297

***

[3]
Diffraction record for Ho2PaMnS6. The X-ray diffraction stick pattern is computed, not measured: it uses a cell relaxed with GGA-PBE and Cu Kα (λ = 1.5418 Å).
Intensities are scaled so that the largest is 1000.

Atomic structure:
```
data_Ho2PaMnS6
_chemical_formula_sum 'Ho2 Pa1 Mn1 S6'
_cell_length_a 6.6928
_cell_length_b 6.6928
_cell_length_c 5.7243
_cell_angle_alpha 90.00
_cell_angle_beta 90.00
_cell_angle_gamma 90.00
_space_group_name_H-M_alt 'P 4 m m'
_space_group_IT_number 99
loop_
_space_group_symop_operation_xyz
'x,y,z'
'-y,x,z'
'-x,-y,z'
'y,-x,z'
'-x,y,z'
'y,x,z'
'x,-y,z'
'-y,-x,z'
loop_
_atom_site_label
_atom_site_type_symbol
_atom_site_fract_x
_atom_site_fract_y
_atom_site_fract_z
Ho1 Ho 0.0000 0.5000 0.0000
Pa1 Pa 0.0000 0.0000 0.6646
Mn1 Mn 0.5000 0.5000 0.8811
S1 S 0.0000 0.0000 0.1968
S2 S 0.2630 0.2630 0.7614
S3 S 0.5000 0.5000 0.2631
```

Main lines, most intense first (2θ = 10–90°):
- 2θ = 24.40°, 3.647 Å, I 1000
- 2θ = 15.48°, 5.724 Å, I 690
- 2θ = 26.64°, 3.346 Å, I 657
- 2θ = 38.03°, 2.366 Å, I 566
- 2θ = 36.69°, 2.449 Å, I 514
- 2θ = 45.70°, 1.985 Å, I 390

***

[4]
Diffraction record for LiInTe. The X-ray diffraction stick pattern is computed, not measured: it uses a cell relaxed with GGA-PBE and Cu Kα (λ = 1.5418 Å).
Intensities are scaled so that the largest is 1000.

Atomic structure:
```
data_LiInTe
_chemical_formula_sum 'Li4 In4 Te4'
_cell_length_a 6.8960
_cell_length_b 6.8960
_cell_length_c 6.8960
_cell_angle_alpha 90.00
_cell_angle_beta 90.00
_cell_angle_gamma 90.00
_space_group_name_H-M_alt 'F -4 3 m'
_space_group_IT_number 216
_space_group_name_Hall 'F -4 2 3'
loop_
_atom_site_label
_atom_site_type_symbol
_atom_site_fract_x
_atom_site_fract_y
_atom_site_fract_z
Li1 Li 0.0000 0.0000 0.0000
In1 In 0.2500 0.2500 0.7500
Te1 Te 0.2500 0.2500 0.2500
```

Main lines, most intense first (2θ = 10–90°):
- 2θ = 25.84°, 3.448 Å, I 1000
- 2θ = 36.87°, 2.438 Å, I 852
- 2θ = 59.99°, 1.542 Å, I 368
- 2θ = 66.41°, 1.408 Å, I 293
- 2θ = 45.57°, 1.991 Å, I 284
- 2θ = 84.25°, 1.149 Å, I 176

***

[5]
Diffraction record for Pm5Dy8Tl. The X-ray diffraction stick pattern is computed, not measured: it uses a cell relaxed with GGA-PBE and Cu Kα (λ = 1.5418 Å).
Intensities are scaled so that the largest is 1000.

Atomic structure:
```
data_Pm5Dy8Tl
_chemical_formula_sum 'Pm10 Dy16 Tl2'
_cell_length_a 9.6394
_cell_length_b 9.6394
_cell_length_c 10.0391
_cell_angle_alpha 90.00
_cell_angle_beta 90.00
_cell_angle_gamma 90.00
_space_group_name_H-M_alt 'I -4'
_space_group_IT_number 82
loop_
_space_group_symop_operation_xyz
'x,y,z'
'y,-x,-z'
'-x,-y,z'
'-y,x,-z'
'x+1/2,y+1/2,z+1/2'
'y+1/2,-x+1/2,-z+1/2'
'-x+1/2,-y+1/2,z+1/2'
'-y+1/2,x+1/2,-z+1/2'
loop_
_atom_site_label
_atom_site_type_symbol
_atom_site_fract_x
_atom_site_fract_y
_atom_site_fract_z
Pm1 Pm 0.0000 0.0000 0.0000
Pm2 Pm 0.0999 0.7882 0.5784
Dy1 Dy 0.0697 0.6761 0.9041
Dy2 Dy 0.0828 0.8123 0.2445
Tl1 Tl 0.0000 0.5000 0.2500
```

Main lines, most intense first (2θ = 10–90°):
- 2θ = 33.91°, 2.643 Å, I 1000
- 2θ = 29.30°, 3.048 Å, I 978
- 2θ = 28.23°, 3.161 Å, I 811
- 2θ = 29.18°, 3.060 Å, I 710
- 2θ = 34.42°, 2.605 Å, I 593
- 2θ = 34.72°, 2.583 Å, I 586

***

[6]
Diffraction record for K2Rb2SeO4. The X-ray diffraction stick pattern is computed, not measured: it uses a cell relaxed with GGA-PBE and Cu Kα (λ = 1.5418 Å).
Intensities are scaled so that the largest is 1000.

Atomic structure:
```
data_K2Rb2SeO4
_chemical_formula_sum 'K4 Rb4 Se2 O8'
_cell_length_a 6.3685
_cell_length_b 6.3685
_cell_length_c 8.5465
_cell_angle_alpha 90.00
_cell_angle_beta 90.00
_cell_angle_gamma 90.00
_space_group_name_H-M_alt 'I 4/m m m'
_space_group_IT_number 139
_space_group_name_Hall '-I 4 2'
loop_
_atom_site_label
_atom_site_type_symbol
_atom_site_fract_x
_atom_site_fract_y
_atom_site_fract_z
K1 K 0.0000 0.0000 0.1569
Rb1 Rb 0.0000 0.5000 0.2500
Se1 Se 0.0000 0.0000 0.5000
O1 O 0.2168 0.2168 0.5000
```

Main lines, most intense first (2θ = 10–90°):
- 2θ = 28.80°, 3.100 Å, I 1000
- 2θ = 28.02°, 3.184 Å, I 794
- 2θ = 40.04°, 2.252 Å, I 601
- 2θ = 35.15°, 2.553 Å, I 405
- 2θ = 50.07°, 1.822 Å, I 387
- 2θ = 34.49°, 2.600 Å, I 370

***

[7]
Diffraction record for Ca4As3. The X-ray diffraction stick pattern is computed, not measured: it uses a cell relaxed with GGA-PBE and Cu Kα (λ = 1.5418 Å).
Intensities are scaled so that the largest is 1000.

Atomic structure:
```
data_Ca4As3
_chemical_formula_sum 'Ca32 As24'
_cell_length_a 11.5832
_cell_length_b 12.1395
_cell_length_c 10.4338
_cell_angle_alpha 90.00
_cell_angle_beta 90.00
_cell_angle_gamma 90.00
_space_group_name_H-M_alt 'P b a m'
_space_group_IT_number 55
loop_
_space_group_symop_operation_xyz
'x,y,z'
'-x,-y,-z'
'-x,-y,z'
'x,y,-z'
'x+1/2,-y+1/2,-z'
'-x+1/2,y+1/2,z'
'-x+1/2,y+1/2,-z'
'x+1/2,-y+1/2,z'
loop_
_atom_site_label
_atom_site_type_symbol
_atom_site_fract_x
_atom_site_fract_y
_atom_site_fract_z
Ca1 Ca 0.0000 0.0000 0.1843
Ca2 Ca 0.0944 0.2645 0.2723
Ca3 Ca 0.1011 0.7068 0.0000
Ca4 Ca 0.1246 0.8644 0.5000
Ca5 Ca 0.1759 0.5669 0.3240
Ca6 Ca 0.2262 0.4240 0.0000
As1 As 0.0000 0.5000 0.1226
As2 As 0.0393 0.4018 0.5000
As3 As 0.1355 0.1144 0.5000
As4 As 0.1398 0.1431 0.0000
As5 As 0.1625 0.8235 0.2334
```

Main lines, most intense first (2θ = 10–90°):
- 2θ = 32.00°, 2.797 Å, I 1000
- 2θ = 34.35°, 2.611 Å, I 885
- 2θ = 24.14°, 3.687 Å, I 650
- 2θ = 35.07°, 2.558 Å, I 584
- 2θ = 33.48°, 2.676 Å, I 400
- 2θ = 34.18°, 2.623 Å, I 399